Record 1
The following is a calculated PXRD pattern of MgSO8. It was derived from a DFT-relaxed cell (PBE, Alexandria), using copper Kα.

Lattice parameters (Å, degrees): 5.3579 5.3579 8.9406 92.08 92.08 73.46
Positions (direct):
Mg 0.0000 0.5000 0.0000
Mg 0.5000 0.0000 0.5000
S 0.0373 0.9627 0.7500
S 0.9627 0.0373 0.2500
O 0.0019 0.1966 0.8499
O 0.0725 0.7238 0.8374
O 0.1675 0.5361 0.4185
O 0.1966 0.0019 0.3499
O 0.2321 0.4200 0.5371
O 0.2762 0.9275 0.6626
O 0.4200 0.2321 0.0371
O 0.4639 0.8325 0.0815
O 0.5361 0.1675 0.9185
O 0.5800 0.7679 0.9629
O 0.7238 0.0725 0.3374
O 0.7679 0.5800 0.4629
O 0.8034 0.9981 0.6501
O 0.8325 0.4639 0.5815
O 0.9275 0.2762 0.1626
O 0.9981 0.8034 0.1501

Peak list (10 most intense, 5° ≤ 2θ ≤ 70°, in order of falling intensity)
- d = 5.134 Å, 17.27 deg, I = 1000
- d = 3.416 Å, 26.09 deg, I = 692
- d = 3.025 Å, 29.53 deg, I = 617
- d = 2.450 Å, 36.69 deg, I = 467
- d = 3.325 Å, 26.81 deg, I = 452
- d = 3.166 Å, 28.18 deg, I = 357
- d = 2.612 Å, 34.34 deg, I = 250
- d = 2.485 Å, 36.14 deg, I = 234
- d = 2.567 Å, 34.95 deg, I = 185
- d = 2.005 Å, 45.23 deg, I = 180

Record 2
The following is a calculated PXRD pattern of Sr4MgS4O16. It was derived from a DFT-relaxed cell (PBE, Alexandria), using copper Kα.

Lattice parameters (Å, degrees): 4.7229 5.2160 17.1654 90.00 96.15 90.00
Positions (direct):
Sr 0.0000 0.0000 0.0000
Sr 0.1259 0.0000 0.4139
Sr 0.4960 0.5000 0.1599
Sr 0.7585 0.5000 0.5742
Mg 0.5440 0.5000 0.7670
S 0.3188 0.0000 0.6004
S 0.5441 0.5000 0.9647
S 0.5482 0.5000 0.3793
S 0.9484 0.0000 0.1851
O 0.0253 0.2318 0.1384
O 0.0253 0.7682 0.1384
O 0.0989 0.0000 0.2636
O 0.2080 0.2325 0.5529
O 0.2080 0.7675 0.5529
O 0.2290 0.0000 0.6786
O 0.2329 0.5000 0.3783
O 0.3932 0.5000 0.8852
O 0.4694 0.2662 0.0101
O 0.4694 0.7338 0.0101
O 0.6331 0.0000 0.1844
O 0.6337 0.5000 0.2992
O 0.6350 0.0000 0.5990
O 0.6617 0.2671 0.4237
O 0.6617 0.7329 0.4237
O 0.8603 0.5000 0.9640

Peak list (10 most intense, 5° ≤ 2θ ≤ 70°, in order of falling intensity)
- d = 17.067 Å, 5.18 deg, I = 1000
- d = 8.533 Å, 10.37 deg, I = 507
- d = 3.490 Å, 25.52 deg, I = 480
- d = 3.413 Å, 26.11 deg, I = 316
- d = 3.474 Å, 25.64 deg, I = 286
- d = 2.607 Å, 34.40 deg, I = 216
- d = 2.360 Å, 38.13 deg, I = 153
- d = 2.856 Å, 31.32 deg, I = 138
- d = 2.156 Å, 41.91 deg, I = 117
- d = 2.072 Å, 43.68 deg, I = 104

Record 3
The following is a calculated PXRD pattern of Sr4MgS4O16. It was derived from a DFT-relaxed cell (PBE, Alexandria), using copper Kα.

Lattice parameters (Å, degrees): 4.6961 5.2289 17.1803 90.00 97.44 90.00
Positions (direct):
Sr 0.0000 0.0000 0.0000
Sr 0.1456 0.5000 0.3350
Sr 0.3821 0.5000 0.7465
Sr 0.7374 0.0000 0.5824
Mg 0.3881 0.5000 0.1397
S 0.1668 0.5000 0.5587
S 0.5553 0.5000 0.9732
S 0.5970 0.0000 0.3585
S 0.9619 0.0000 0.7790
O 0.2497 0.5000 0.4797
O 0.2760 0.0000 0.3531
O 0.2786 0.0000 0.7793
O 0.2842 0.2679 0.6045
O 0.2842 0.7321 0.6045
O 0.4007 0.5000 0.8939
O 0.4800 0.2673 0.0190
O 0.4800 0.7327 0.0190
O 0.6811 0.2370 0.3185
O 0.6811 0.7630 0.3185
O 0.7292 0.0000 0.4417
O 0.8437 0.2326 0.7347
O 0.8437 0.7674 0.7347
O 0.8504 0.5000 0.5589
O 0.8727 0.5000 0.9742
O 0.8840 0.0000 0.8594

Peak list (10 most intense, 5° ≤ 2θ ≤ 70°, in order of falling intensity)
- d = 17.036 Å, 5.19 deg, I = 1000
- d = 3.475 Å, 25.63 deg, I = 978
- d = 5.679 Å, 15.61 deg, I = 352
- d = 3.407 Å, 26.15 deg, I = 314
- d = 2.166 Å, 41.70 deg, I = 286
- d = 2.614 Å, 34.30 deg, I = 217
- d = 2.348 Å, 38.34 deg, I = 214
- d = 4.259 Å, 20.86 deg, I = 212
- d = 2.855 Å, 31.34 deg, I = 179
- d = 2.574 Å, 34.85 deg, I = 178

Record 4
The following is a calculated PXRD pattern of MgSb2O. It was derived from a DFT-relaxed cell (PBE, Alexandria), using copper Kα.

Lattice parameters (Å, degrees): 9.3642 9.3642 7.0683 90.00 90.00 120.00
Positions (direct):
Mg 0.0000 0.3245 0.4575
Mg 0.0000 0.6755 0.5425
Mg 0.3245 0.0000 0.4575
Mg 0.3245 0.3245 0.5425
Mg 0.6755 0.0000 0.5425
Mg 0.6755 0.6755 0.4575
Sb 0.0000 0.0000 0.0000
Sb 0.0000 0.0000 0.5000
Sb 0.0000 0.3472 0.0585
Sb 0.0000 0.6528 0.9415
Sb 0.3333 0.6667 0.0000
Sb 0.3333 0.6667 0.5000
Sb 0.3472 0.0000 0.0585
Sb 0.3472 0.3472 0.9415
Sb 0.6528 0.0000 0.9415
Sb 0.6528 0.6528 0.0585
Sb 0.6667 0.3333 0.0000
Sb 0.6667 0.3333 0.5000
O 0.0000 0.1794 0.6572
O 0.0000 0.8206 0.3428
O 0.1794 0.0000 0.6572
O 0.1794 0.1794 0.3428
O 0.8206 0.0000 0.3428
O 0.8206 0.8206 0.6572

Peak list (10 most intense, 5° ≤ 2θ ≤ 70°, in order of falling intensity)
- d = 2.703 Å, 33.14 deg, I = 1000
- d = 2.147 Å, 42.08 deg, I = 831
- d = 3.534 Å, 25.20 deg, I = 516
- d = 7.068 Å, 12.52 deg, I = 296
- d = 2.821 Å, 31.72 deg, I = 276
- d = 3.903 Å, 22.78 deg, I = 264
- d = 1.428 Å, 65.36 deg, I = 209
- d = 2.525 Å, 35.56 deg, I = 192
- d = 1.561 Å, 59.20 deg, I = 176
- d = 2.105 Å, 42.97 deg, I = 171

Record 5
The following is a calculated PXRD pattern of MgSb2O. It was derived from a DFT-relaxed cell (PBE, Alexandria), using copper Kα.

Lattice parameters (Å, degrees): 9.7243 9.7243 6.3580 90.00 90.00 120.00
Positions (direct):
Mg 0.0000 0.3549 0.1327
Mg 0.0000 0.6451 0.8673
Mg 0.3549 0.0000 0.1327
Mg 0.3549 0.3549 0.8673
Mg 0.6451 0.0000 0.8673
Mg 0.6451 0.6451 0.1327
Sb 0.0000 0.0000 0.0000
Sb 0.0000 0.0000 0.5000
Sb 0.0000 0.3751 0.6301
Sb 0.0000 0.6249 0.3699
Sb 0.3333 0.6667 0.0000
Sb 0.3333 0.6667 0.5000
Sb 0.3751 0.0000 0.6301
Sb 0.3751 0.3751 0.3699
Sb 0.6249 0.0000 0.3699
Sb 0.6249 0.6249 0.6301
Sb 0.6667 0.3333 0.0000
Sb 0.6667 0.3333 0.5000
O 0.0000 0.1610 0.1996
O 0.0000 0.8390 0.8004
O 0.1610 0.0000 0.1996
O 0.1610 0.1610 0.8004
O 0.8390 0.0000 0.8004
O 0.8390 0.8390 0.1996

Peak list (10 most intense, 5° ≤ 2θ ≤ 70°, in order of falling intensity)
- d = 2.807 Å, 31.88 deg, I = 1000
- d = 2.661 Å, 33.68 deg, I = 919
- d = 1.931 Å, 47.05 deg, I = 347
- d = 3.862 Å, 23.03 deg, I = 284
- d = 1.591 Å, 57.97 deg, I = 283
- d = 2.104 Å, 42.98 deg, I = 228
- d = 4.862 Å, 18.25 deg, I = 213
- d = 1.511 Å, 61.36 deg, I = 194
- d = 6.358 Å, 13.93 deg, I = 150
- d = 1.621 Å, 56.81 deg, I = 126

Record 6
The following is a calculated PXRD pattern of Mg2Sb2O5. It was derived from a DFT-relaxed cell (PBE, Alexandria), using copper Kα.

Lattice parameters (Å, degrees): 8.7965 9.8668 3.1188 90.00 90.00 90.00
Positions (direct):
Mg 0.1659 0.0004 0.0000
Mg 0.3341 0.5004 0.0000
Mg 0.6659 0.4996 0.0000
Mg 0.8341 0.9996 0.0000
Sb 0.0597 0.2951 0.5000
Sb 0.4403 0.7951 0.5000
Sb 0.5597 0.2049 0.5000
Sb 0.9403 0.7049 0.5000
O 0.0000 0.0000 0.5000
O 0.1802 0.2117 0.0000
O 0.1896 0.4547 0.5000
O 0.3104 0.9547 0.5000
O 0.3198 0.7117 0.0000
O 0.5000 0.5000 0.5000
O 0.6802 0.2883 0.0000
O 0.6896 0.0453 0.5000
O 0.8104 0.5453 0.5000
O 0.8198 0.7883 0.0000

Peak list (10 most intense, 5° ≤ 2θ ≤ 70°, in order of falling intensity)
- d = 4.017 Å, 22.13 deg, I = 1000
- d = 3.081 Å, 28.98 deg, I = 518
- d = 2.465 Å, 36.46 deg, I = 443
- d = 1.769 Å, 51.68 deg, I = 411
- d = 3.283 Å, 27.16 deg, I = 408
- d = 2.636 Å, 34.02 deg, I = 401
- d = 4.933 Å, 17.98 deg, I = 394
- d = 2.544 Å, 35.28 deg, I = 379
- d = 1.638 Å, 56.15 deg, I = 307
- d = 2.191 Å, 41.19 deg, I = 305